# 1
Starting from the GGA-PBE geometry in Alexandria, the X-ray diffraction stick pattern of CeSm5Dy was computed for a wavelength of 1.5418 Å.
No peak broadening, texture or thermal motion is included.

```
data_CeSm5Dy
_chemical_formula_sum 'Ce1 Sm5 Dy1'
_cell_length_a 5.3674
_cell_length_b 5.6286
_cell_length_c 7.8623
_cell_angle_alpha 101.34
_cell_angle_beta 90.18
_cell_angle_gamma 90.33
_symmetry_space_group_name_H-M 'P 1'
_symmetry_Int_Tables_number 1
_symmetry_space_group_name_Hall 'P 1'
loop_
_atom_site_label
_atom_site_type_symbol
_atom_site_fract_x
_atom_site_fract_y
_atom_site_fract_z
Ce1 Ce 0.0000 0.0000 0.0000
Sm1 Sm 0.0000 0.0000 0.5000
Sm2 Sm 0.0026 0.5351 0.7872
Sm3 Sm 0.4992 0.8523 0.1780
Sm4 Sm 0.5008 0.1477 0.8220
Sm5 Sm 0.9974 0.4649 0.2128
Dy1 Dy 0.5000 0.5000 0.5000
```

Main lines, most intense first (2θ from 10° to 90°):
d_spacing, I_rel, h k l
2.931, 100, 1 1 -2
2.684, 40, 2 0 0
3.257, 22, 1 1 1
3.279, 22, -1 1 1
1.593, 16, 3 1 -2
2.759, 16, 0 2 0
2.570, 14, 0 0 3
1.466, 12, 2 2 -4

# 2
Starting from the GGA-PBE geometry in Alexandria, the X-ray diffraction stick pattern of ZnTc6Ge8 was computed for a wavelength of 1.5418 Å.
No peak broadening, texture or thermal motion is included.

```
data_ZnTc6Ge8
_chemical_formula_sum 'Zn1 Tc6 Ge8'
_cell_length_a 9.8435
_cell_length_b 9.8435
_cell_length_c 3.0875
_cell_angle_alpha 90.00
_cell_angle_beta 90.00
_cell_angle_gamma 120.00
_symmetry_space_group_name_H-M 'P 1'
_symmetry_Int_Tables_number 1
_symmetry_space_group_name_Hall 'P 1'
loop_
_atom_site_label
_atom_site_type_symbol
_atom_site_fract_x
_atom_site_fract_y
_atom_site_fract_z
Zn1 Zn 0.0000 0.0000 0.0000
Tc1 Tc 0.1122 0.6294 0.7502
Tc2 Tc 0.3706 0.4828 0.7502
Tc3 Tc 0.4828 0.1122 0.2498
Tc4 Tc 0.5172 0.8878 0.7502
Tc5 Tc 0.6294 0.5172 0.2498
Tc6 Tc 0.8878 0.3706 0.2498
Ge1 Ge 0.0738 0.3435 0.7500
Ge2 Ge 0.2697 0.9262 0.7500
Ge3 Ge 0.3333 0.6667 0.2502
Ge4 Ge 0.3435 0.2697 0.2500
Ge5 Ge 0.6565 0.7303 0.7500
Ge6 Ge 0.6667 0.3333 0.7498
Ge7 Ge 0.7303 0.0738 0.2500
Ge8 Ge 0.9262 0.6565 0.2500
```

Main lines, most intense first (2θ from 10° to 90°):
d_spacing, I_rel, h k l
2.229, 100, 1 2 1
2.364, 75, 1 3 0
8.525, 67, 1 0 0
2.500, 44, 2 0 1
1.924, 38, 4 -2 1
1.860, 32, 4 1 0
1.133, 29, 5 3 1
1.652, 23, 2 3 1

# 3
Starting from the GGA-PBE geometry in Alexandria, the X-ray diffraction stick pattern of PbCI was computed for a wavelength of 1.5418 Å.
No peak broadening, texture or thermal motion is included.

```
data_PbCI
_chemical_formula_sum 'Pb2 C2 I2'
_cell_length_a 6.6791
_cell_length_b 4.6616
_cell_length_c 7.3520
_cell_angle_alpha 90.00
_cell_angle_beta 109.69
_cell_angle_gamma 90.00
_symmetry_space_group_name_H-M 'P 1'
_symmetry_Int_Tables_number 1
_symmetry_space_group_name_Hall 'P 1'
loop_
_atom_site_label
_atom_site_type_symbol
_atom_site_fract_x
_atom_site_fract_y
_atom_site_fract_z
Pb1 Pb 0.0000 0.0000 0.0000
Pb2 Pb 0.4479 0.0000 0.4304
C1 C 0.1836 0.3649 0.2521
C2 C 0.1836 0.6351 0.2521
I1 I 0.5278 0.0000 0.0347
I2 I 0.8437 0.5000 0.6391
```

Main lines, most intense first (2θ from 10° to 90°):
d_spacing, I_rel, h k l
5.710, 100, 1 0 -1
2.779, 76, 0 1 2
2.435, 72, 2 1 -2
4.662, 72, 0 1 0
2.607, 66, 2 1 0
3.048, 62, 1 1 1
3.867, 54, 0 1 1
3.144, 38, 2 0 0